Starting from a DFT-relaxed cell (GGA+U, Alexandria), the PXRD pattern of Hf3MnF was computed for Cu Ka.
No peak broadening, texture or thermal motion is included.

Most intense lines, 2θ = 15–90°, by intensity:
hkl  2theta  I_rel
1 1 1  34.3  100
2 0 0  39.8  57
3 1 1  68.8  40
2 2 0  57.6  39
1 0 0  19.6  18
2 2 2  72.3  13
2 1 0  44.8  9
1 1 0  27.9  8

Crystal structure
Unit cell a=4.526 b=4.526 c=4.526 alpha=90.00 beta=90.00 gamma=90.00
Space group Pm-3m (No. 221)
Unique sites:
Hf: 0.000 0.000 0.500 x3
Mn: 0.500 0.500 0.500 x1
F: 0.000 0.000 0.000 x1